No. 1
# Bi3IrI
Simulated X-ray powder pattern, Cu Kα, 1.54184 Å. Input: DFT lattice parameters and positions (PBE).
Neutral-atom scattering factors, no anomalous dispersion.

Largest 10 diffraction maxima, in order of rising 2θ, 10 to 90 degrees two-theta:
| d (Å) | intensity |
| --- | --- |
| 6.060 | 29 |
| 3.084 | 100 |
| 3.029 | 19 |
| 3.004 | 48 |
| 2.925 | 25 |
| 2.801 | 38 |
| 2.738 | 23 |
| 2.713 | 28 |
| 2.425 | 33 |
| 1.813 | 19 |

Structure:
Cell lengths 10.1825, 10.1825, 6.5533 Å; angles 93.97, 93.97, 106.37 degrees
Element x y z (fractional)
Bi  0.1322  0.7069  0.9832
Bi  0.2262  0.5374  0.3693
Bi  0.2675  0.4135  0.9088
Bi  0.2931  0.8678  0.5168
Bi  0.4135  0.2675  0.4088
Bi  0.4626  0.7738  0.1307
Bi  0.5374  0.2262  0.8693
Bi  0.5865  0.7325  0.5912
Bi  0.7069  0.1322  0.4832
Bi  0.7325  0.5865  0.0912
Bi  0.7738  0.4626  0.6307
Bi  0.8678  0.2931  0.0168
Ir  0.3329  0.6671  0.7500
Ir  0.4836  0.5164  0.2500
Ir  0.5164  0.4836  0.7500
Ir  0.6671  0.3329  0.2500
I  0.0446  0.2209  0.4754
I  0.2209  0.0446  0.9754
I  0.7791  0.9554  0.0246
I  0.9554  0.7791  0.5246


No. 2
# Ac3Ni2Ge2
Simulated X-ray powder pattern, Cu Kα, 1.54184 Å. Input: DFT lattice parameters and positions (PBE).
Neutral-atom scattering factors, no anomalous dispersion.

Largest 10 diffraction maxima, in order of rising 2θ, 10 to 90 degrees two-theta:
| d (Å) | intensity |
| --- | --- |
| 3.557 | 51 |
| 3.080 | 22 |
| 2.972 | 100 |
| 2.863 | 65 |
| 2.596 | 38 |
| 2.264 | 29 |
| 2.178 | 26 |
| 1.859 | 28 |
| 1.733 | 30 |
| 1.569 | 21 |

Structure:
Cell lengths 9.7604, 9.7604, 9.7604 Å; angles 154.21, 153.18, 37.55 degrees
Element x y z (fractional)
Ac  0.0000  0.0000  0.0000
Ac  0.1794  0.6794  0.5000
Ac  0.8206  0.3206  0.5000
Ni  0.4331  0.4331  0.0000
Ni  0.5669  0.5669  0.0000
Ge  0.3677  0.8677  0.5000
Ge  0.6323  0.1323  0.5000


No. 3
# BaNa6Pd6
Simulated X-ray powder pattern, Cu Kα, 1.54184 Å. Input: DFT lattice parameters and positions (PBE).
Neutral-atom scattering factors, no anomalous dispersion.

Largest 10 diffraction maxima, in order of rising 2θ, 10 to 90 degrees two-theta:
| d (Å) | intensity |
| --- | --- |
| 7.000 | 23 |
| 4.960 | 74 |
| 3.500 | 25 |
| 3.478 | 52 |
| 2.481 | 42 |
| 2.467 | 100 |
| 2.441 | 94 |
| 2.211 | 31 |
| 2.189 | 59 |
| 1.739 | 46 |

Structure:
Cell lengths 7.5418, 7.5418, 7.5418 Å; angles 136.31, 98.19, 97.73 degrees
Element x y z (fractional)
Ba  0.0000  0.0000  0.0000
Na  0.1986  0.5000  0.6986
Na  0.3363  0.3363  0.0000
Na  0.3544  0.0000  0.3544
Na  0.6456  0.0000  0.6456
Na  0.6637  0.6637  0.0000
Na  0.8014  0.5000  0.3014
Pd  0.0000  0.0000  0.5000
Pd  0.0000  0.5000  0.0000
Pd  0.2285  0.7285  0.5000
Pd  0.5000  0.0000  0.0000
Pd  0.5000  0.5000  0.5000
Pd  0.7715  0.2715  0.5000


No. 4
# Ho3ErAs4
Simulated X-ray powder pattern, Cu Kα, 1.54184 Å. Input: DFT lattice parameters and positions (PBE).
Neutral-atom scattering factors, no anomalous dispersion.

Largest 10 diffraction maxima, in order of rising 2θ, 10 to 90 degrees two-theta:
| d (Å) | intensity |
| --- | --- |
| 3.342 | 24 |
| 2.894 | 100 |
| 2.046 | 74 |
| 1.745 | 12 |
| 1.671 | 26 |
| 1.447 | 12 |
| 1.328 | 5 |
| 1.294 | 34 |
| 1.181 | 25 |
| 1.114 | 4 |

Structure:
Cell lengths 5.7881, 5.7881, 5.7881 Å; angles 90.00, 90.00, 90.00 degrees
Element x y z (fractional)
Ho  0.0000  0.0000  0.5000
Ho  0.0000  0.5000  0.0000
Ho  0.5000  0.0000  0.0000
Er  0.5000  0.5000  0.5000
As  0.0000  0.0000  0.0000
As  0.0000  0.5000  0.5000
As  0.5000  0.0000  0.5000
As  0.5000  0.5000  0.0000


No. 5
# Nd3UAs4
Simulated X-ray powder pattern, Cu Kα, 1.54184 Å. Input: DFT lattice parameters and positions (PBE).
Neutral-atom scattering factors, no anomalous dispersion.

Largest 10 diffraction maxima, in order of rising 2θ, 10 to 90 degrees two-theta:
| d (Å) | intensity |
| --- | --- |
| 3.455 | 13 |
| 3.436 | 12 |
| 2.984 | 100 |
| 2.120 | 13 |
| 2.109 | 50 |
| 2.103 | 12 |
| 1.728 | 13 |
| 1.718 | 13 |
| 1.335 | 11 |
| 1.216 | 13 |

Structure:
Cell lengths 7.3144, 7.3144, 4.2061 Å; angles 90.00, 90.00, 109.13 degrees
Element x y z (fractional)
Nd  0.0000  0.0000  0.0000
Nd  0.0000  0.5000  0.5000
Nd  0.5000  0.0000  0.5000
U  0.5000  0.5000  0.0000
As  0.2574  0.7426  0.0000
As  0.2596  0.2596  0.5000
As  0.7404  0.7404  0.5000
As  0.7426  0.2574  0.0000


No. 6
# Sr4Br6O
Simulated X-ray powder pattern, Cu Kα, 1.54184 Å. Input: DFT lattice parameters and positions (PBE).
Neutral-atom scattering factors, no anomalous dispersion.

Largest 10 diffraction maxima, in order of rising 2θ, 10 to 90 degrees two-theta:
| d (Å) | intensity |
| --- | --- |
| 3.769 | 21 |
| 3.009 | 95 |
| 2.871 | 100 |
| 2.700 | 69 |
| 2.498 | 59 |
| 2.489 | 26 |
| 2.453 | 28 |
| 2.202 | 26 |
| 1.688 | 22 |
| 1.568 | 29 |

Structure:
Cell lengths 9.9914, 9.9914, 7.6749 Å; angles 90.00, 90.00, 120.00 degrees
Element x y z (fractional)
Sr  0.2011  0.4021  0.0000
Sr  0.2011  0.7989  0.0000
Sr  0.3333  0.6667  0.5876
Sr  0.4021  0.2011  0.5000
Sr  0.5979  0.7989  0.0000
Sr  0.6667  0.3333  0.0876
Sr  0.7989  0.2011  0.5000
Sr  0.7989  0.5979  0.5000
Br  0.0699  0.5350  0.2955
Br  0.1394  0.2787  0.6172
Br  0.1394  0.8606  0.6172
Br  0.2787  0.1394  0.1172
Br  0.4650  0.5350  0.2955
Br  0.4650  0.9301  0.2955
Br  0.5350  0.0699  0.7955
Br  0.5350  0.4650  0.7955
Br  0.7213  0.8606  0.6172
Br  0.8606  0.1394  0.1172
Br  0.8606  0.7213  0.1172
Br  0.9301  0.4650  0.7955
O  0.3333  0.6667  0.9000
O  0.6667  0.3333  0.4000